# 1
Calculated X-ray powder pattern of Sr2UCoO6 for a wavelength of 1.5418 Å, from a structure optimized by DFT (GGA+U).

```
data_Sr2UCoO6
_symmetry_space_group_name_H-M 'P 1 21/c 1'
_symmetry_Int_Tables_number 14
_cell_length_a 5.839
_cell_length_b 5.868
_cell_length_c 10.085
_cell_angle_alpha 90.00
_cell_angle_beta 125.02
_cell_angle_gamma 90.00
loop_
_symmetry_equiv_pos_as_xyz
'x,y,z'
'-x,-y,-z'
'-x,y+1/2,-z+1/2'
'x,-y+1/2,z+1/2'
loop_
_atom_site_label
_atom_site_type_symbol
_atom_site_fract_x
_atom_site_fract_y
_atom_site_fract_z
Sr1 Sr 0.238 0.033 0.248
U1 U 0.500 0.000 0.000
Co1 Co 0.000 0.000 0.500
O1 O 0.180 0.216 0.960
O2 O 0.241 0.722 0.956
O3 O 0.332 0.019 0.754
```

Most intense lines, 10 to 90 degrees two-theta, in order of rising 2θ:
2theta, I/Imax, (hkl)
18.6, 46, 0 1 1
18.7, 18, 1 0 -2
21.5, 26, 1 1 -1
30.5, 100, 1 1 1
30.6, 99, 1 1 -3
36.0, 26, 2 1 -1
43.7, 37, 2 2 -2
43.8, 19, 0 0 4
54.2, 32, 2 0 2
54.3, 30, 3 1 -1
54.6, 23, 3 1 -5
72.3, 17, 1 1 5

# 2
Calculated X-ray powder pattern of Sr3Co2WO9 for a wavelength of 1.5418 Å, from a structure optimized by DFT (GGA+U).

```
data_Sr3Co2WO9
_symmetry_space_group_name_H-M 'I m m m'
_symmetry_Int_Tables_number 71
_symmetry_space_group_name_Hall '-I 2 2'
_cell_length_a 5.585
_cell_length_b 7.950
_cell_length_c 16.788
_cell_angle_alpha 90.00
_cell_angle_beta 90.00
_cell_angle_gamma 90.00
loop_
_atom_site_label
_atom_site_type_symbol
_atom_site_fract_x
_atom_site_fract_y
_atom_site_fract_z
Sr1 Sr 0.000 0.235 0.000
Sr2 Sr 0.000 0.259 0.340
Co1 Co 0.000 0.000 0.162
Co2 Co 0.000 0.000 0.500
Co3 Co 0.000 0.500 0.500
W1 W 0.000 0.500 0.168
O1 O 0.000 0.236 0.500
O2 O 0.000 0.257 0.165
O3 O 0.243 0.500 0.420
O4 O 0.245 0.500 0.250
O5 O 0.247 0.500 0.086
```

Most intense lines, 10 to 90 degrees two-theta, in order of rising 2θ:
2theta, I/Imax, (hkl)
19.4, 15, 1 1 0
22.1, 5, 1 1 2
31.9, 100, 1 2 3
32.1, 20, 2 0 0
37.7, 5, 1 1 6
45.6, 13, 0 4 0
45.9, 27, 2 0 6
56.8, 15, 2 4 0
57.0, 30, 3 2 3
66.7, 15, 2 4 6
75.7, 6, 1 6 3
76.1, 10, 3 2 9

# 3
Calculated X-ray powder pattern of Sr3YCo2O8 for a wavelength of 1.5418 Å, from a structure optimized by DFT (GGA+U).

```
data_Sr3YCo2O8
_symmetry_space_group_name_H-M 'A m m 2'
_symmetry_Int_Tables_number 38
_cell_length_a 5.373
_cell_length_b 5.411
_cell_length_c 12.427
_cell_angle_alpha 90.00
_cell_angle_beta 90.00
_cell_angle_gamma 90.00
loop_
_symmetry_equiv_pos_as_xyz
'x,y,z'
'-x,-y,z'
'-x,y,z'
'x,-y,z'
'x,y+1/2,z+1/2'
'-x,-y+1/2,z+1/2'
'-x,y+1/2,z+1/2'
'x,-y+1/2,z+1/2'
loop_
_atom_site_label
_atom_site_type_symbol
_atom_site_fract_x
_atom_site_fract_y
_atom_site_fract_z
Sr1 Sr 0.000 0.000 0.000
Sr2 Sr 0.000 0.000 0.288
Sr3 Sr 0.500 0.000 0.790
Y1 Y 0.500 0.000 0.510
Co1 Co 0.000 0.000 0.645
Co2 Co 0.500 0.000 0.143
O1 O 0.000 0.000 0.487
O2 O 0.000 0.000 0.798
O3 O 0.256 0.241 0.639
O4 O 0.500 0.000 0.329
O5 O 0.500 0.000 0.982
```

Most intense lines, 10 to 90 degrees two-theta, in order of rising 2θ:
2theta, I/Imax, (hkl)
31.9, 100, 1 1 3
33.1, 37, 0 2 0
33.4, 37, 2 0 0
43.5, 17, 1 1 5
43.7, 15, 0 0 6
44.4, 12, 0 2 4
44.6, 12, 2 0 4
47.7, 41, 2 2 0
58.4, 18, 1 3 3
58.7, 18, 3 1 3
66.7, 19, 2 2 6
79.6, 12, 4 2 0

# 4
Calculated X-ray powder pattern of Sr2YCoO6 for a wavelength of 1.5418 Å, from a structure optimized by DFT (GGA+U).

```
data_Sr2YCoO6
_symmetry_space_group_name_H-M 'I 4/m m m'
_symmetry_Int_Tables_number 139
_symmetry_space_group_name_Hall '-I 4 2'
_cell_length_a 5.790
_cell_length_b 5.790
_cell_length_c 7.974
_cell_angle_alpha 90.00
_cell_angle_beta 90.00
_cell_angle_gamma 90.00
loop_
_atom_site_label
_atom_site_type_symbol
_atom_site_fract_x
_atom_site_fract_y
_atom_site_fract_z
Sr1 Sr 0.000 0.500 0.250
Y1 Y 0.000 0.000 0.000
Co1 Co 0.000 0.000 0.500
O1 O 0.000 0.000 0.276
O2 O 0.233 0.233 0.500
```

Most intense lines, 10 to 90 degrees two-theta, in order of rising 2θ:
2theta, I/Imax, (hkl)
30.9, 51, 2 0 0
31.3, 100, 1 1 2
38.4, 9, 2 0 2
44.2, 37, 2 2 0
45.5, 17, 0 0 4
55.2, 39, 3 1 2
56.0, 18, 2 0 4
64.4, 11, 4 0 0
65.3, 20, 2 2 4
73.1, 9, 4 2 0
82.3, 10, 4 0 4
89.8, 11, 5 1 2